(1)
Diffraction record for BaAs12Ru4. The X-ray powder pattern is computed, not measured: it uses a DFT-relaxed cell (GGA-PBE, the Materials Project) and Cu Kα (weighted mean of Kα1 and Kα2).
Intensities are scaled so that the largest is 100.

Most intense lines, 5° ≤ 2θ ≤ 70°, low angle first:
- 2θ 20.5, I 7
- 2θ 29.2, I 31
- 2θ 32.7, I 100
- 2θ 39.0, I 43
- 2θ 41.8, I 5
- 2θ 47.0, I 34
- 2θ 51.8, I 44
- 2θ 54.1, I 40
- 2θ 62.6, I 5
- 2θ 68.6, I 14

Atomic structure:
```
data_BaAs12Ru4
_chemical_formula_sum 'Ba2 As24 Ru8'
_space_group_name_H-M_alt 'I m -3'
_space_group_IT_number 204
_space_group_name_Hall '-I 2 2 3'
_cell_length_a 8.648
_cell_length_b 8.648
_cell_length_c 8.648
_cell_angle_alpha 90.00
_cell_angle_beta 90.00
_cell_angle_gamma 90.00
loop_
_atom_site_label
_atom_site_type_symbol
_atom_site_fract_x
_atom_site_fract_y
_atom_site_fract_z
_atom_site_occupancy
Ba1 Ba 0.000 0.000 0.000 1
As1 As 0.000 0.353 0.152 1
Ru1 Ru 0.250 0.250 0.250 1
```

(2)
Diffraction record for BaAs2Ru2. The X-ray powder pattern is computed, not measured: it uses a DFT-relaxed cell (GGA-PBE, the Materials Project) and Cu Kα (weighted mean of Kα1 and Kα2).
Intensities are scaled so that the largest is 100.

Most intense lines, 5° ≤ 2θ ≤ 70°, low angle first:
- 2θ 14.3, I 31
- 2θ 28.7, I 17
- 2θ 30.3, I 100
- 2θ 33.4, I 83
- 2θ 42.1, I 21
- 2θ 43.0, I 59
- 2θ 52.5, I 12
- 2θ 53.5, I 39
- 2θ 53.9, I 53
- 2θ 62.5, I 19

Atomic structure:
```
data_BaAs2Ru2
_chemical_formula_sum 'Ba2 As4 Ru4'
_space_group_name_H-M_alt 'I 4/m m m'
_space_group_IT_number 139
_space_group_name_Hall '-I 4 2'
_cell_length_a 4.206
_cell_length_b 4.206
_cell_length_c 12.429
_cell_angle_alpha 90.00
_cell_angle_beta 90.00
_cell_angle_gamma 90.00
loop_
_atom_site_label
_atom_site_type_symbol
_atom_site_fract_x
_atom_site_fract_y
_atom_site_fract_z
_atom_site_occupancy
Ba1 Ba 0.000 0.000 0.000 1
As1 As 0.000 0.000 0.350 1
Ru1 Ru 0.000 0.500 0.250 1
```

(3)
Diffraction record for Ba3Si2As4. The X-ray powder pattern is computed, not measured: it uses a DFT-relaxed cell (GGA-PBE, the Materials Project) and Cu Kα (weighted mean of Kα1 and Kα2).
Intensities are scaled so that the largest is 100.

Most intense lines, 5° ≤ 2θ ≤ 70°, low angle first:
- 2θ 27.0, I 52
- 2θ 27.4, I 100
- 2θ 37.3, I 17
- 2θ 37.6, I 36
- 2θ 40.1, I 34
- 2θ 40.8, I 18
- 2θ 44.5, I 11
- 2θ 48.8, I 9
- 2θ 49.6, I 19
- 2θ 61.4, I 15

Atomic structure:
```
data_Ba3Si2As4
_chemical_formula_sum 'Ba12 Si8 As16'
_space_group_name_H-M_alt 'C 1 2/c 1'
_space_group_IT_number 15
_cell_length_a 9.680
_cell_length_b 17.705
_cell_length_c 7.833
_cell_angle_alpha 90.00
_cell_angle_beta 122.68
_cell_angle_gamma 90.00
loop_
_space_group_symop_operation_xyz
'x,y,z'
'-x,-y,-z'
'-x,y,-z+1/2'
'x,-y,z+1/2'
'x+1/2,y+1/2,z'
'-x+1/2,-y+1/2,-z'
'-x+1/2,y+1/2,-z+1/2'
'x+1/2,-y+1/2,z+1/2'
loop_
_atom_site_label
_atom_site_type_symbol
_atom_site_fract_x
_atom_site_fract_y
_atom_site_fract_z
_atom_site_occupancy
Ba1 Ba 0.000 0.058 0.250 1
Ba2 Ba 0.000 0.190 0.750 1
Ba3 Ba 0.000 0.435 0.750 1
Si1 Si 0.148 0.318 0.343 1
As1 As 0.239 0.427 0.254 1
As2 As 0.247 0.198 0.297 1
```

(4)
Diffraction record for Ba13Si6Sn8As22. The X-ray powder pattern is computed, not measured: it uses a DFT-relaxed cell (GGA-PBE, the Materials Project) and Cu Kα (weighted mean of Kα1 and Kα2).
Intensities are scaled so that the largest is 100.

Most intense lines, 5° ≤ 2θ ≤ 70°, low angle first:
- 2θ 21.4, I 25
- 2θ 25.8, I 22
- 2θ 27.3, I 35
- 2θ 29.3, I 100
- 2θ 30.2, I 28
- 2θ 31.1, I 81
- 2θ 31.2, I 24
- 2θ 32.4, I 34
- 2θ 34.5, I 35
- 2θ 51.4, I 23

Atomic structure:
```
data_Ba13Si6Sn8As22
_chemical_formula_sum 'Ba26 Si12 Sn16 As44'
_space_group_name_H-M_alt 'I -4 2 m'
_space_group_IT_number 121
_space_group_name_Hall 'I -4 2'
_cell_length_a 14.687
_cell_length_b 14.687
_cell_length_c 13.763
_cell_angle_alpha 90.00
_cell_angle_beta 90.00
_cell_angle_gamma 90.00
loop_
_atom_site_label
_atom_site_type_symbol
_atom_site_fract_x
_atom_site_fract_y
_atom_site_fract_z
_atom_site_occupancy
Ba1 Ba 0.000 0.000 0.000 1
Ba2 Ba 0.125 0.367 0.415 1
Ba3 Ba 0.167 0.167 0.675 1
Si1 Si 0.000 0.500 0.250 1
Si2 Si 0.085 0.085 0.400 1
Sn1 Sn 0.049 0.227 0.166 1
As1 As 0.000 0.000 0.283 1
As2 As 0.000 0.186 0.500 1
As3 As 0.092 0.398 0.656 1
As4 As 0.169 0.169 0.024 1
As5 As 0.179 0.179 0.301 1
```

(5)
Diffraction record for Ba3Sn2As4. The X-ray powder pattern is computed, not measured: it uses a DFT-relaxed cell (GGA-PBE, the Materials Project) and Cu Kα (weighted mean of Kα1 and Kα2).
Intensities are scaled so that the largest is 100.

Most intense lines, 5° ≤ 2θ ≤ 70°, low angle first:
- 2θ 23.9, I 7
- 2θ 26.5, I 100
- 2θ 29.7, I 9
- 2θ 33.3, I 7
- 2θ 35.6, I 7
- 2θ 37.5, I 20
- 2θ 38.0, I 20
- 2θ 39.8, I 19
- 2θ 44.9, I 13
- 2θ 61.8, I 8

Atomic structure:
```
data_Ba3Sn2As4
_chemical_formula_sum 'Ba12 Sn8 As16'
_space_group_name_H-M_alt 'P 1 21/c 1'
_space_group_IT_number 14
_cell_length_a 8.181
_cell_length_b 20.156
_cell_length_c 8.067
_cell_angle_alpha 90.00
_cell_angle_beta 112.23
_cell_angle_gamma 90.00
loop_
_space_group_symop_operation_xyz
'x,y,z'
'-x,-y,-z'
'-x,y+1/2,-z+1/2'
'x,-y+1/2,z+1/2'
loop_
_atom_site_label
_atom_site_type_symbol
_atom_site_fract_x
_atom_site_fract_y
_atom_site_fract_z
_atom_site_occupancy
Ba1 Ba 0.213 0.183 0.009 1
Ba2 Ba 0.257 0.063 0.511 1
Ba3 Ba 0.262 0.561 0.505 1
Sn1 Sn 0.210 0.623 0.026 1
Sn2 Sn 0.317 0.742 0.901 1
As1 As 0.001 0.555 0.749 1
As2 As 0.035 0.683 0.216 1
As3 As 0.488 0.199 0.785 1
As4 As 0.498 0.564 0.246 1
```

> Number 1 is which compound?

BaAs12Ru4